For Pu2TcB6, a DFT-relaxed cell (GGA-PBE, the Materials Project) gives the computed X-ray powder pattern in this record (Cu Kα, 1.54184 Å).
Peak positions follow from Bragg's law for the DFT cell and can differ from measured ones.

Structural model:
Cell: 9.2558 11.3394 3.6164 Å, 90.00 90.00 90.00°
Fractional coordinates of all 36 atoms:
Pu  0.0460  0.1098  0.0000
Pu  0.1643  0.4083  0.0000
Pu  0.3357  0.9083  0.0000
Pu  0.4540  0.6098  0.0000
Pu  0.5460  0.3902  0.0000
Pu  0.6643  0.0917  0.0000
Pu  0.8357  0.5917  0.0000
Pu  0.9540  0.8902  0.0000
Tc  0.1439  0.6791  0.0000
Tc  0.3561  0.1791  0.0000
Tc  0.6439  0.8209  0.0000
Tc  0.8561  0.3209  0.0000
B  0.0145  0.2829  0.5000
B  0.0508  0.5665  0.5000
B  0.1422  0.9605  0.5000
B  0.1436  0.8124  0.5000
B  0.1973  0.2288  0.5000
B  0.2437  0.5761  0.5000
B  0.2563  0.0761  0.5000
B  0.3027  0.7288  0.5000
B  0.3564  0.3124  0.5000
B  0.3578  0.4605  0.5000
B  0.4492  0.0665  0.5000
B  0.4855  0.7829  0.5000
B  0.5145  0.2171  0.5000
B  0.5508  0.9335  0.5000
B  0.6422  0.5395  0.5000
B  0.6436  0.6876  0.5000
B  0.6973  0.2712  0.5000
B  0.7437  0.9239  0.5000
B  0.7563  0.4239  0.5000
B  0.8027  0.7712  0.5000
B  0.8564  0.1876  0.5000
B  0.8578  0.0395  0.5000
B  0.9492  0.4335  0.5000
B  0.9855  0.7171  0.5000

Top 6 peaks for 5° ≤ 2θ ≤ 70°, in order of rising 2θ:
2θ/deg	Rel. int.	(hkl)
24.6	1000	0 0 1
30.0	523	3 1 0
30.5	468	2 3 0
39.2	621	3 1 1
39.6	552	2 3 1
40.4	351	0 4 1